Diffraction record for NpMoO6. The X-ray powder pattern is simulated, not measured: it uses DFT lattice parameters and positions (GGA+U) and CuKα.

Top 8 peaks for 2θ = 10–90°, sorted by position:
hkl  two_theta  Rel. int.
1 0 0  18.5  21.6
1 1 0  26.3  66.4
1 0 2  28.5  100.0
2 1 2  47.8  55.1
1 1 4  51.8  20.7
2 2 0  54.1  13.8
2 0 4  59.0  14.5
3 0 2  62.3  13.6

Structural model:
Unit cell a=4.794 b=4.794 c=8.271 alpha=90.00 beta=90.00 gamma=90.00
Space group P4_2/mcm (No. 132)
Symmetry-distinct sites (fractional):
Np  0.000  0.000  0.250 x2
Mo  0.500  0.500  0.000 x2
O  0.222  0.222  0.000 x4
O  0.272  0.272  0.337 x8